1.
Diffraction record for Pr8Sb3Te4. The powder diffraction line list is theoretical, not measured: it uses the PBE geometry in Alexandria and CuKα.

Crystal structure
a = 12.7397 Å, b = 12.7551 Å, c = 9.0136 Å
α = 90.00°, β = 134.92°, γ = 90.00°
Space group C2/m (No. 12)
One atom of each set of equivalent atoms:
1 Pr 0.0000 0.2468 0.0000
2 Pr 0.0000 0.2493 0.5000
3 Pr 0.2447 0.0000 0.4957
4 Pr 0.2482 0.0000 0.0017
5 Sb 0.0000 0.0000 0.0000
6 Sb 0.2500 0.2500 0.5000
7 Te 0.0000 0.5000 0.0000
8 Te 0.0000 0.5000 0.5000
9 Te 0.2500 0.2500 0.0000

Principal peaks in the range 2θ from 10° to 90°, low angle first:
two_theta, I (rel.)
27.99, 100
39.99, 76
49.52, 27
57.81, 9
57.91, 4
65.44, 26
65.52, 9
72.62, 22
72.70, 4
86.25, 4

=====

2.
Diffraction record for Ho2Ni2Hg3. The powder diffraction line list is theoretical, not measured: it uses the PBE geometry in Alexandria and CuKα.

Crystal structure
a = 3.9710 Å, b = 20.2395 Å, c = 3.6846 Å
α = 90.00°, β = 90.00°, γ = 90.00°
Space group Cmmm (No. 65)
One atom of each set of equivalent atoms:
1 Ho 0.0000 0.1726 0.0000
2 Ni 0.0000 0.2841 0.5000
3 Hg 0.0000 0.0000 0.0000
4 Hg 0.0000 0.4184 0.5000

Principal peaks in the range 2θ from 10° to 90°, low angle first:
two_theta, I (rel.)
31.56, 44
33.47, 100
36.10, 70
38.52, 39
45.69, 22
49.47, 18
59.57, 33
60.92, 17
64.39, 18
69.66, 22

=====

3.
Diffraction record for Dy12Al3Cd. The powder diffraction line list is theoretical, not measured: it uses the PBE geometry in Alexandria and CuKα.

Crystal structure
a = 4.7777 Å, b = 4.7777 Å, c = 19.1170 Å
α = 90.00°, β = 90.00°, γ = 90.00°
Space group P4/mmm (No. 123)
One atom of each set of equivalent atoms:
1 Dy 0.0000 0.0000 0.0000
2 Dy 0.0000 0.0000 0.2480
3 Dy 0.0000 0.0000 0.5000
4 Dy 0.0000 0.5000 0.1240
5 Dy 0.0000 0.5000 0.3704
6 Al 0.5000 0.5000 0.0000
7 Al 0.5000 0.5000 0.2484
8 Cd 0.5000 0.5000 0.5000

Principal peaks in the range 2θ from 10° to 90°, low angle first:
two_theta, I (rel.)
18.57, 13
26.38, 11
32.45, 100
37.65, 50
42.29, 6
54.30, 35
64.70, 41
67.96, 12
80.39, 5
89.38, 17

=====

4.
Diffraction record for Zr4Bi2N. The powder diffraction line list is theoretical, not measured: it uses the PBE geometry in Alexandria and CuKα.

Crystal structure
a = 4.4973 Å, b = 4.4973 Å, c = 15.2955 Å
α = 90.00°, β = 90.00°, γ = 90.00°
Space group I4/mmm (No. 139)
One atom of each set of equivalent atoms:
1 Zr 0.0000 0.0000 0.1465
2 Zr 0.0000 0.5000 0.0000
3 Bi 0.0000 0.0000 0.3494
4 N 0.0000 0.0000 0.0000

Principal peaks in the range 2θ from 10° to 90°, low angle first:
two_theta, I (rel.)
26.43, 29
28.06, 42
30.44, 47
35.20, 29
36.76, 100
40.10, 57
54.41, 33
58.01, 21
68.01, 22
70.67, 30